Record 1
OsRh3: theoretical powder XRD pattern (Cu Kα (λ = 1.5418 Å)), based on the GGA-PBE geometry in Alexandria.
Intensities are scaled so that the largest is 100.

Peak list (8 most intense, 2θ = 10–90°, low angle first)
2θ = 20.00°, I = 7; 2θ = 40.68°, I = 100; 2θ = 47.03°, I = 16; 2θ = 47.48°, I = 32; 2θ = 69.06°, I = 21; 2θ = 83.02°, I = 13; 2θ = 83.62°, I = 12; 2θ = 83.75°, I = 12

Structural model:
```
4
Lattice="2.711 -3.864 0.000 2.711 3.864 0.000 0.000 0.000 2.705" Properties=species:S:1:pos:R:3 pbc="T T T"
Os 0.000 0.000 0.000
Rh 1.356 1.932 1.353
Rh 1.356 -1.932 1.353
Rh 2.711 0.000 0.000
```

Record 2
Os3Rh: theoretical powder XRD pattern (Cu Kα (λ = 1.5418 Å)), based on the GGA-PBE geometry in Alexandria.
Intensities are scaled so that the largest is 100.

Peak list (8 most intense, 2θ = 10–90°, low angle first)
2θ = 37.80°, I = 25; 2θ = 41.28°, I = 25; 2θ = 43.28°, I = 100; 2θ = 57.21°, I = 15; 2θ = 68.26°, I = 17; 2θ = 76.65°, I = 19; 2θ = 83.00°, I = 20; 2θ = 84.35°, I = 15

Structural model:
```
4
Lattice="2.748 0.000 0.000 -1.374 2.380 0.000 0.000 0.000 8.748" Properties=species:S:1:pos:R:3 pbc="T T T"
Os 0.000 0.000 0.000
Os 1.374 0.793 2.142
Os 1.374 0.793 6.606
Rh 0.000 0.000 4.374
```

Record 3
Os4Rh: theoretical powder XRD pattern (Cu Kα (λ = 1.5418 Å)), based on the GGA-PBE geometry in Alexandria.
Intensities are scaled so that the largest is 100.

Peak list (8 most intense, 2θ = 10–90°, low angle first)
2θ = 40.54°, I = 100; 2θ = 47.04°, I = 16; 2θ = 47.22°, I = 33; 2θ = 68.86°, I = 21; 2θ = 69.00°, I = 11; 2θ = 82.93°, I = 13; 2θ = 83.21°, I = 26; 2θ = 87.72°, I = 12

Structural model:
```
5
Lattice="-3.043 3.043 1.932 3.043 -3.043 1.932 3.043 3.043 -1.932" Properties=species:S:1:pos:R:3 pbc="T T T"
Os 4.252 0.566 0.000
Os 0.566 1.834 0.000
Os 2.477 1.209 1.932
Os -1.209 2.477 1.932
Rh 0.000 0.000 1.932
```